Structure and calculated X-ray diffraction stick pattern of FeCu6Pd8 (a crystal structure in Alexandria, relaxed with GGA-PBE; CuKα).

Cell and atoms:
Cell: 6.194 6.194 6.194 Å, 76.78 76.78 76.78°
Element x y z (fractional)
Fe1 0.000 0.000 0.000
Cu1 0.202 0.593 0.443
Cu2 0.407 0.557 0.798
Cu3 0.443 0.202 0.593
Cu4 0.557 0.798 0.407
Cu5 0.593 0.443 0.202
Cu6 0.798 0.407 0.557
Pd1 0.062 0.374 0.839
Pd2 0.161 0.938 0.626
Pd3 0.244 0.244 0.244
Pd4 0.374 0.839 0.062
Pd5 0.626 0.161 0.938
Pd6 0.756 0.756 0.756
Pd7 0.839 0.062 0.374
Pd8 0.938 0.626 0.161

The 10 most intense peaks (2θ from 15° to 90°), by angle:
2θ 31.14, rel. 30
2θ 38.35, rel. 100
2θ 40.62, rel. 18
2θ 41.85, rel. 33
2θ 45.64, rel. 71
2θ 49.85, rel. 13
2θ 52.05, rel. 15
2θ 64.04, rel. 14
2θ 68.95, rel. 18
2θ 84.02, rel. 11